No. 1
This entry pairs a crystal structure of TmLuReAg with its theoretical X-ray diffraction stick pattern. Radiation: copper Kα. Structure: a structure optimized by DFT (PBE).
Intensities are scaled so that the largest is 100.

Structural model:
Cell: 6.9102 6.9102 6.9102 Å, 90.00 90.00 90.00°
Fractional positions:
Tm 0.0000 0.0000 0.0000
Tm 0.0000 0.5000 0.5000
Tm 0.5000 0.0000 0.5000
Tm 0.5000 0.5000 0.0000
Lu 0.0000 0.0000 0.5000
Lu 0.0000 0.5000 0.0000
Lu 0.5000 0.0000 0.0000
Lu 0.5000 0.5000 0.5000
Re 0.2500 0.2500 0.2500
Re 0.2500 0.7500 0.7500
Re 0.7500 0.2500 0.7500
Re 0.7500 0.7500 0.2500
Ag 0.2500 0.2500 0.7500
Ag 0.2500 0.7500 0.2500
Ag 0.7500 0.2500 0.2500
Ag 0.7500 0.7500 0.7500

Principal peaks in the range 10 to 90 degrees two-theta, sorted by position:
22.28 deg, I 3
25.79 deg, I 1
36.79 deg, I 100
43.43 deg, I 2
53.01 deg, I 18
58.19 deg, I 1
66.26 deg, I 36
78.26 deg, I 11
82.60 deg, I 1
89.75 deg, I 17

---

No. 2
This entry pairs a crystal structure of AcHoCrN4 with its theoretical X-ray diffraction stick pattern. Radiation: copper Kα. Structure: a structure optimized by DFT (PBE).
Intensities are scaled so that the largest is 100.

Structural model:
Cell: 5.6207 5.6324 7.0909 Å, 90.00 108.26 90.00°
Fractional positions:
Ac 0.2174 0.2500 0.4295
Ac 0.7826 0.7500 0.5705
Ho 0.2954 0.2500 0.9621
Ho 0.7046 0.7500 0.0379
Cr 0.2588 0.7500 0.1805
Cr 0.7412 0.2500 0.8195
N 0.0641 0.7500 0.3323
N 0.0772 0.7500 0.9387
N 0.4646 0.5073 0.2308
N 0.4646 0.9927 0.2308
N 0.5354 0.0073 0.7692
N 0.5354 0.4927 0.7692
N 0.9228 0.2500 0.0613
N 0.9359 0.2500 0.6677

Principal peaks in the range 10 to 90 degrees two-theta, sorted by position:
22.96 deg, I 100
26.49 deg, I 32
30.96 deg, I 83
31.77 deg, I 47
33.58 deg, I 26
35.76 deg, I 24
39.28 deg, I 53
41.83 deg, I 31
46.90 deg, I 26
51.53 deg, I 21

---

What did the second record say?
This entry pairs a crystal structure of AcHoCrN4 with its theoretical X-ray diffraction stick pattern. Radiation: copper Kα. Structure: a structure optimized by DFT (PBE).
Intensities are scaled so that the largest is 100.

Structural model:
Cell: 5.6207 5.6324 7.0909 Å, 90.00 108.26 90.00°
Fractional positions:
Ac 0.2174 0.2500 0.4295
Ac 0.7826 0.7500 0.5705
Ho 0.2954 0.2500 0.9621
Ho 0.7046 0.7500 0.0379
Cr 0.2588 0.7500 0.1805
Cr 0.7412 0.2500 0.8195
N 0.0641 0.7500 0.3323
N 0.0772 0.7500 0.9387
N 0.4646 0.5073 0.2308
N 0.4646 0.9927 0.2308
N 0.5354 0.0073 0.7692
N 0.5354 0.4927 0.7692
N 0.9228 0.2500 0.0613
N 0.9359 0.2500 0.6677

Principal peaks in the range 10 to 90 degrees two-theta, sorted by position:
22.96 deg, I 100
26.49 deg, I 32
30.96 deg, I 83
31.77 deg, I 47
33.58 deg, I 26
35.76 deg, I 24
39.28 deg, I 53
41.83 deg, I 31
46.90 deg, I 26
51.53 deg, I 21